For Pu2Hg3Au2, a cell relaxed with PBE gives the calculated X-ray diffraction stick pattern in this record (copper Kα).
Intensities are scaled so that the largest is 100.

Structural model:
```
7
Lattice="4.707 0.000 0.000 0.000 3.155 0.000 -2.342 0.000 11.445" Properties=species:S:1:pos:R:3 pbc="T T T"
Pu 0.002 0.000 1.822
Pu 2.362 0.000 9.624
Hg 0.004 1.577 4.839
Hg 2.354 1.577 0.000
Hg 2.361 1.577 6.606
Au 0.008 1.577 8.299
Au 2.357 1.577 3.147
```

Most intense lines, 5 to 70 degrees two-theta, sorted by position:
Position (°2θ), I_rel, h k l
29.37, 15.0, 0 1 1
33.36, 100.0, 1 0 3
34.45, 54.2, 1 1 -1
36.97, 23.9, 0 1 3
38.24, 37.0, 2 0 -1
39.63, 30.8, 1 1 2
54.24, 16.3, 2 1 2
58.54, 15.7, 0 2 0
66.05, 14.4, 3 0 2
69.05, 25.4, 1 2 3